[1]
Computed X-ray powder pattern of LaDyHo2Sc2 for copper Kα, from a DFT-relaxed cell (GGA-PBE, Alexandria).
Lines closer than 0.1° are merged.

Structure:
abc: 6.2658 17.5654 3.3381
angles: 90.00 90.00 90.00
Space group Pnnm (No. 58)
One atom of each set of equivalent atoms:
1 La 0.0000 0.0000 0.0000
2 Dy 0.0000 0.5000 0.0000
3 Ho 0.2103 0.1943 0.0000
4 Sc 0.2068 0.3546 0.5000

Principal peaks in the range 15 to 90 degrees two-theta, in order of rising 2θ:
Position (°2θ)  I/Imax  index
20.22  24  0 4 0
24.76  29  1 4 0
30.30  100  2 2 0
30.54  33  0 6 0
30.81  59  0 3 1
32.04  25  1 2 1
33.79  20  1 6 0
36.73  32  1 4 1
43.60  22  1 6 1
52.74  21  3 2 1

[2]
Computed X-ray powder pattern of Tb3YEr7 for copper Kα, from a DFT-relaxed cell (GGA-PBE, Alexandria).
Lines closer than 0.1° are merged.

Structure:
abc: 5.7492 11.0902 11.1102
angles: 90.00 90.00 90.00
Space group Immm (No. 71)
One atom of each set of equivalent atoms:
1 Tb 0.0000 0.0000 0.0000
2 Tb 0.0000 0.2906 0.5000
3 Y 0.0000 0.5000 0.0000
4 Er 0.0000 0.0000 0.5000
5 Er 0.0000 0.1954 0.2063
6 Er 0.0000 0.5000 0.2944

Principal peaks in the range 15 to 90 degrees two-theta, in order of rising 2θ:
Position (°2θ)  I/Imax  index
25.37  13  0 1 3
28.69  12  1 0 3
31.11  36  2 0 0
32.25  27  0 0 4
33.01  100  1 3 2
45.43  21  2 0 4
56.57  22  3 3 2
63.03  8  1 2 7
63.13  9  1 7 2
80.50  9  3 7 2